BeAlBO3F2: simulated X-ray powder pattern (Cu Ka), based on a cell relaxed with GGA-PBE.
Intensities are scaled so that the largest is 100.

Crystal structure
a = 4.6143 Å, b = 4.6143 Å, c = 49.8940 Å
α = 90.00°, β = 90.00°, γ = 120.00°
Element x y z (fractional)
Be1 0.0000 0.0000 0.0000
Al1 0.6667 0.3333 0.9720
B1 0.3333 0.6667 0.9865
O1 0.0411 0.6813 0.9856
O2 0.3187 0.3598 0.9856
O3 0.6402 0.9589 0.9856
F1 0.0000 0.0000 0.0284
F2 0.6667 0.3333 0.9389

Main lines, most intense first (10° ≤ 2θ ≤ 90°):
- 2θ 10.6, I = 100, (0 0 6)
- 2θ 12.4, I = 53, (0 0 7)
- 2θ 14.2, I = 28, (0 0 8)
- 2θ 24.7, I = 25, (1 0 6)
- 2θ 24.0, I = 25, (0 1 5)
- 2θ 25.6, I = 23, (1 0 7)
- 2θ 23.4, I = 23, (0 1 4)
- 2θ 26.5, I = 20, (1 0 8)
- 2θ 39.1, I = 19, (1 1 1)
- 2θ 22.9, I = 18, (0 1 3)